No. 1
Simulated powder X-ray diffraction pattern
Compound: TiPCl9
Radiation: Cu Kα X-rays
Structure: DFT lattice parameters and positions (GGA-PBE)
Lines closer than 0.1° are merged.

Top 10 peaks for 2θ = 10–90°, sorted by position:
2θ (°)	Rel. int.
13.58	47
14.64	100
16.39	94
17.89	43
20.87	50
28.70	56
29.55	53
30.53	35
31.14	49
35.33	49

```
TiPCl9
1.0
7.434 0.000 0.000
-0.731 9.383 0.000
-1.885 -2.259 9.919
Ti P Cl
2 2 18
Direct
0.126 0.148 0.161 Ti
0.874 0.852 0.839 Ti
0.444 0.303 0.714 P
0.556 0.697 0.286 P
0.014 0.302 0.322 Cl
0.108 0.315 0.027 Cl
0.116 0.962 0.281 Cl
0.193 0.964 0.965 Cl
0.272 0.448 0.746 Cl
0.320 0.142 0.564 Cl
0.341 0.602 0.335 Cl
0.433 0.206 0.239 Cl
0.473 0.768 0.123 Cl
0.527 0.232 0.877 Cl
0.567 0.794 0.761 Cl
0.659 0.398 0.665 Cl
0.680 0.858 0.436 Cl
0.728 0.552 0.254 Cl
0.807 0.036 0.035 Cl
0.884 0.038 0.719 Cl
0.892 0.685 0.973 Cl
0.986 0.698 0.678 Cl
```

***

No. 2
Simulated powder X-ray diffraction pattern
Compound: Tl4PCl
Radiation: Cu Kα X-rays
Structure: DFT lattice parameters and positions (GGA-PBE)
Lines closer than 0.1° are merged.

Top 10 peaks for 2θ = 10–90°, sorted by position:
2θ (°)	Rel. int.
17.07	99
33.02	100
34.54	95
40.09	40
43.86	29
52.88	35
57.99	38
60.92	23
69.28	39
82.32	23

```
Tl4PCl
1.0
0.000 4.498 4.498
4.498 0.000 4.498
4.498 4.498 0.000
Tl P Cl
4 1 1
Direct
0.125 0.125 0.125 Tl
0.125 0.125 0.624 Tl
0.125 0.624 0.125 Tl
0.624 0.125 0.125 Tl
0.500 0.500 0.500 P
0.750 0.750 0.750 Cl
```

***

No. 3
Simulated powder X-ray diffraction pattern
Compound: ZnP2Cl4
Radiation: Cu Kα X-rays
Structure: DFT lattice parameters and positions (GGA-PBE)
Lines closer than 0.1° are merged.

Top 10 peaks for 2θ = 10–90°, sorted by position:
2θ (°)	Rel. int.
11.25	100
14.88	64
16.79	34
22.49	23
23.67	33
24.64	30
26.87	32
28.08	52
29.27	23
43.66	21

```
ZnP2Cl4
1.0
7.932 -3.758 0.000
7.932 3.758 0.000
-1.025 0.000 7.850
Zn P Cl
2 4 8
Direct
0.198 0.198 0.392 Zn
0.802 0.802 0.608 Zn
0.355 0.287 0.809 P
0.449 0.036 0.618 P
0.713 0.645 0.191 P
0.964 0.551 0.382 P
0.100 0.641 0.281 Cl
0.177 0.007 0.214 Cl
0.359 0.900 0.719 Cl
0.502 0.349 0.682 Cl
0.540 0.145 0.020 Cl
0.651 0.498 0.318 Cl
0.855 0.460 0.980 Cl
0.993 0.823 0.786 Cl
```

***

Repeat the first record exactly.
Simulated powder X-ray diffraction pattern
Compound: TiPCl9
Radiation: Cu Kα X-rays
Structure: DFT lattice parameters and positions (GGA-PBE)
Lines closer than 0.1° are merged.

Top 10 peaks for 2θ = 10–90°, sorted by position:
2θ (°)	Rel. int.
13.58	47
14.64	100
16.39	94
17.89	43
20.87	50
28.70	56
29.55	53
30.53	35
31.14	49
35.33	49

```
TiPCl9
1.0
7.434 0.000 0.000
-0.731 9.383 0.000
-1.885 -2.259 9.919
Ti P Cl
2 2 18
Direct
0.126 0.148 0.161 Ti
0.874 0.852 0.839 Ti
0.444 0.303 0.714 P
0.556 0.697 0.286 P
0.014 0.302 0.322 Cl
0.108 0.315 0.027 Cl
0.116 0.962 0.281 Cl
0.193 0.964 0.965 Cl
0.272 0.448 0.746 Cl
0.320 0.142 0.564 Cl
0.341 0.602 0.335 Cl
0.433 0.206 0.239 Cl
0.473 0.768 0.123 Cl
0.527 0.232 0.877 Cl
0.567 0.794 0.761 Cl
0.659 0.398 0.665 Cl
0.680 0.858 0.436 Cl
0.728 0.552 0.254 Cl
0.807 0.036 0.035 Cl
0.884 0.038 0.719 Cl
0.892 0.685 0.973 Cl
0.986 0.698 0.678 Cl
```